# 1
Structure and calculated PXRD pattern of Li3Tb3US8 (a DFT-relaxed cell (GGA-PBE, Alexandria); λ = 1.5418 Å (Cu Kα)).

Cell and atoms:
```
Li3Tb3US8
1.0
3.957 2.285 6.168
-3.957 2.285 6.168
0.000 -4.569 6.168
Li Tb U S
3 3 1 8
Direct
0.000 0.500 0.500 Li
0.500 0.000 0.500 Li
0.500 0.500 0.000 Li
0.000 0.000 0.500 Tb
0.000 0.500 0.000 Tb
0.500 0.000 0.000 Tb
0.500 0.500 0.500 U
0.250 0.250 0.250 S
0.256 0.256 0.744 S
0.256 0.744 0.256 S
0.256 0.744 0.744 S
0.744 0.256 0.256 S
0.744 0.256 0.744 S
0.744 0.744 0.256 S
0.750 0.750 0.750 S
```

The 12 most intense peaks (10° ≤ 2θ ≤ 80°), in order of rising 2θ:
d = 6.168 Å, 14.36°, rel. 1000; d = 3.370 Å, 26.45°, rel. 705; d = 3.214 Å, 27.76°, rel. 260; d = 2.754 Å, 32.51°, rel. 866; d = 2.515 Å, 35.71°, rel. 316; d = 2.093 Å, 43.22°, rel. 204; d = 1.979 Å, 45.86°, rel. 324; d = 1.917 Å, 47.42°, rel. 293; d = 1.884 Å, 48.31°, rel. 288; d = 1.607 Å, 57.34°, rel. 165; d = 1.247 Å, 76.35°, rel. 145; d = 1.216 Å, 78.67°, rel. 134



# 2
Structure and calculated PXRD pattern of TiAl4Pd7 (a DFT-relaxed cell (GGA-PBE, Alexandria); λ = 1.5418 Å (Cu Kα)).

Cell and atoms:
```
TiAl4Pd7
1.0
5.859 -2.298 0.000
5.859 2.298 0.000
-5.468 0.000 7.241
Ti Al Pd
1 4 7
Direct
0.000 0.000 0.000 Ti
0.290 0.290 0.657 Al
0.420 0.420 0.213 Al
0.580 0.580 0.787 Al
0.710 0.710 0.343 Al
0.069 0.069 0.332 Pd
0.219 0.219 0.869 Pd
0.347 0.347 0.418 Pd
0.500 0.500 0.000 Pd
0.653 0.653 0.582 Pd
0.781 0.781 0.131 Pd
0.931 0.931 0.668 Pd
```

The 12 most intense peaks (10° ≤ 2θ ≤ 80°), in order of rising 2θ:
d = 3.171 Å, 28.14°, rel. 1000; d = 2.765 Å, 32.38°, rel. 506; d = 2.487 Å, 36.12°, rel. 101; d = 2.298 Å, 39.21°, rel. 536; d = 2.190 Å, 41.22°, rel. 326; d = 2.119 Å, 42.67°, rel. 648; d = 2.050 Å, 44.17°, rel. 476; d = 1.767 Å, 51.73°, rel. 263; d = 1.756 Å, 52.07°, rel. 104; d = 1.585 Å, 58.19°, rel. 231; d = 1.446 Å, 64.45°, rel. 117; d = 1.289 Å, 73.44°, rel. 126